The following is a simulated powder diffractogram of CrO3. It was derived from the GGA+U geometry in Alexandria, using Cu Kα X-rays.

Principal peaks in the range 2θ from 5° to 70°, low angle first:
| hkl | d [Å] | I (rel.) |
| --- | --- | --- |
| 0 0 1 | 4.712 | 18 |
| 1 0 0 | 4.436 | 100 |
| 0 1 1 | 3.663 | 92 |
| 1 1 -1 | 3.529 | 55 |
| 0 2 0 | 2.912 | 29 |
| 1 1 1 | 2.423 | 25 |

Structure:
```
data_CrO3
_cell_length_a 5.028
_cell_length_b 5.825
_cell_length_c 5.339
_cell_angle_alpha 90.00
_cell_angle_beta 118.03
_cell_angle_gamma 90.00
_space_group_name_H-M_alt 'P 1'
_space_group_IT_number 1
_space_group_name_Hall 'P 1'
loop_
_atom_site_label
_atom_site_fract_x
_atom_site_fract_y
_atom_site_fract_z
Cr1 0.000 0.000 0.000
Cr2 0.177 0.500 0.356
O1 0.219 0.500 0.671
O2 0.309 0.000 0.987
O3 0.499 0.500 0.369
O4 0.728 0.000 0.685
O5 0.977 0.250 0.178
O6 0.977 0.750 0.178
```